Structure and computed powder diffraction line list of LiCuCO3 (a GGA-PBE-relaxed structure; a wavelength of 1.5418 Å).
Neutral-atom scattering factors, no anomalous dispersion.

Largest 12 diffraction maxima, low angle first, 2θ = 10–90°:
2θ = 21.4°, d = 4.150 Å, I 1000, (0 3 3)
2θ = 29.3°, d = 3.051 Å, I 402, (1 0 0)
2θ = 32.0°, d = 2.800 Å, I 118, (-1 2 1)
2θ = 36.4°, d = 2.470 Å, I 248, (1 3 0)
2θ = 36.6°, d = 2.458 Å, I 250, (1 0 -3)
2θ = 36.7°, d = 2.446 Å, I 248, (-1 3 3)
2θ = 37.5°, d = 2.396 Å, I 392, (0 6 3)
2θ = 43.6°, d = 2.075 Å, I 331, (0 6 6)
2θ = 48.1°, d = 1.893 Å, I 80, (1 3 6)
2θ = 53.7°, d = 1.707 Å, I 124, (1 -6 0)
2θ = 58.9°, d = 1.568 Å, I 142, (0 9 3)
2θ = 60.7°, d = 1.526 Å, I 85, (2 0 0)

Structural model:
Cell lengths 3.051, 14.371, 14.374 Å; angles 60.04, 89.56, 89.32 degrees
Space group P1 (No. 1)
One atom of each set of equivalent atoms:
Li 0.000 0.000 0.000 [1 per cell]
Li 0.000 0.052 0.289 [1 per cell]
Li 0.007 0.011 0.627 [1 per cell]
Li 0.008 0.679 0.651 [1 per cell]
Li 0.052 0.680 0.299 [1 per cell]
Li 0.951 0.352 0.310 [1 per cell]
Li 0.979 0.362 0.628 [1 per cell]
Li 0.985 0.342 0.948 [1 per cell]
Li 0.987 0.704 0.958 [1 per cell]
Cu 0.436 0.566 0.187 [1 per cell]
Cu 0.464 0.262 0.178 [1 per cell]
Cu 0.477 0.231 0.849 [1 per cell]
Cu 0.481 0.568 0.860 [1 per cell]
Cu 0.502 0.912 0.861 [1 per cell]
Cu 0.507 0.239 0.537 [1 per cell]
Cu 0.516 0.914 0.516 [1 per cell]
Cu 0.535 0.901 0.210 [1 per cell]
Cu 0.561 0.589 0.513 [1 per cell]
C 0.001 0.118 0.758 [1 per cell]
C 0.023 0.810 0.412 [1 per cell]
C 0.486 0.143 0.409 [1 per cell]
C 0.494 0.131 0.079 [1 per cell]
C 0.494 0.465 0.412 [1 per cell]
C 0.498 0.461 0.737 [1 per cell]
C 0.500 0.798 0.745 [1 per cell]
C 0.506 0.790 0.090 [1 per cell]
C 0.964 0.465 0.066 [1 per cell]
O 0.000 0.209 0.668 [1 per cell]
O 0.007 0.810 0.504 [1 per cell]
O 0.011 0.027 0.758 [1 per cell]
O 0.012 0.901 0.322 [1 per cell]
O 0.054 0.720 0.412 [1 per cell]
O 0.433 0.711 0.071 [1 per cell]
O 0.434 0.445 0.335 [1 per cell]
O 0.463 0.063 0.391 [1 per cell]
O 0.463 0.242 0.330 [1 per cell]
O 0.463 0.443 0.835 [1 per cell]
O 0.476 0.382 0.718 [1 per cell]
O 0.486 0.225 0.993 [1 per cell]
O 0.493 0.781 0.844 [1 per cell]
O 0.497 0.044 0.072 [1 per cell]
O 0.498 0.717 0.728 [1 per cell]
O 0.499 0.124 0.173 [1 per cell]
O 0.504 0.387 0.512 [1 per cell]
O 0.514 0.896 0.665 [1 per cell]
O 0.538 0.123 0.508 [1 per cell]
O 0.540 0.770 0.189 [1 per cell]
O 0.541 0.887 0.011 [1 per cell]
O 0.548 0.563 0.390 [1 per cell]
O 0.557 0.560 0.658 [1 per cell]
O 0.947 0.465 0.156 [1 per cell]
O 0.970 0.374 0.066 [1 per cell]
O 0.972 0.556 0.975 [1 per cell]
O 0.994 0.118 0.849 [1 per cell]